# CsMg6CrO8
Calculated powder diffraction line list, Cu Kα (λ = 1.5418 Å). Input: a GGA+U-relaxed structure.

Peak list (8 most intense, 2θ = 10–90°, in order of falling intensity)
- 39.29°, I = 100, (2 0 0)
- 33.95°, I = 58, (1 1 2)
- 57.02°, I = 54, (2 0 4)
- 19.36°, I = 50, (1 0 0)
- 39.61°, I = 44, (0 0 4)
- 27.62°, I = 44, (1 0 2)
- 56.78°, I = 30, (2 2 0)
- 19.51°, I = 27, (0 0 2)

Structural model:
a b c (Å): 4.5859 4.5859 9.1010
angles (deg): 90.00 90.00 90.00
Element x y z (fractional)
Cs: 0.0000 0.0000 0.0000
Mg: 0.0000 0.5000 0.2672
Mg: 0.0000 0.5000 0.7328
Mg: 0.5000 0.0000 0.2672
Mg: 0.5000 0.0000 0.7328
Mg: 0.5000 0.5000 0.0000
Mg: 0.5000 0.5000 0.5000
Cr: 0.0000 0.0000 0.5000
O: 0.0000 0.0000 0.2853
O: 0.0000 0.0000 0.7147
O: 0.0000 0.5000 0.0000
O: 0.0000 0.5000 0.5000
O: 0.5000 0.0000 0.0000
O: 0.5000 0.0000 0.5000
O: 0.5000 0.5000 0.2554
O: 0.5000 0.5000 0.7446